# 1
Computed XRD peak list of Nd5As2BrO10 for Cu Kα (λ = 1.5418 Å), from a crystal structure in OQMD, relaxed with PBE.
No peak broadening, texture or thermal motion is included.

Top 10 peaks for 2θ = 10–90°, by intensity:
2θ/deg  I/Imax
30.95  100
29.00  99
31.41  41
45.41  39
31.95  29
26.53  21
55.63  19
51.98  19
54.44  18
43.89  16

Cell lengths 6.861, 6.861, 8.983 Å; angles 113.64, 113.64, 49.06 degrees
Element x y z (fractional)
Nd (0.000, 0.000, 0.000)
Nd (0.254, 0.254, 0.871)
Nd (0.499, 0.499, 0.292)
Nd (0.501, 0.501, 0.708)
Nd (0.746, 0.746, 0.129)
As (0.215, 0.215, 0.397)
As (0.785, 0.785, 0.603)
Br (0.000, 0.000, 0.500)
O (0.096, 0.623, 0.751)
O (0.132, 0.626, 0.083)
O (0.359, 0.359, 0.401)
O (0.374, 0.868, 0.917)
O (0.377, 0.904, 0.249)
O (0.623, 0.096, 0.751)
O (0.626, 0.132, 0.083)
O (0.641, 0.641, 0.599)
O (0.868, 0.374, 0.917)
O (0.904, 0.377, 0.249)

***

# 2
Computed XRD peak list of ErC8 for Cu Kα (λ = 1.5418 Å), from a crystal structure in OQMD, relaxed with PBE.
No peak broadening, texture or thermal motion is included.

Top 10 peaks for 2θ = 10–90°, by intensity:
2θ/deg  I/Imax
20.47  100
29.51  83
47.09  34
41.93  32
35.85  25
47.90  22
60.56  21
56.08  14
57.03  13
73.04  13

Cell lengths 5.010, 5.010, 4.225 Å; angles 90.00, 90.00, 120.00 degrees
Element x y z (fractional)
Er (0.000, 0.000, 0.000)
C (0.168, 0.336, 0.500)
C (0.168, 0.832, 0.500)
C (0.333, 0.667, 0.500)
C (0.336, 0.168, 0.500)
C (0.664, 0.832, 0.500)
C (0.667, 0.333, 0.500)
C (0.832, 0.168, 0.500)
C (0.832, 0.664, 0.500)

***

# 3
Computed XRD peak list of NdSmNi2Pb for Cu Kα (λ = 1.5418 Å), from a crystal structure in OQMD, relaxed with PBE.
No peak broadening, texture or thermal motion is included.

Top 10 peaks for 2θ = 10–90°, by intensity:
2θ/deg  I/Imax
33.01  100
34.43  65
28.57  49
38.02  33
57.25  30
44.26  24
55.43  19
48.64  18
37.19  15
63.35  15

Cell lengths 3.744, 7.536, 7.536 Å; angles 31.52, 90.00, 90.00 degrees
Element x y z (fractional)
Nd (0.000, 0.000, 0.000)
Sm (0.000, 0.280, 0.280)
Ni (0.500, 0.439, 0.439)
Ni (0.500, 0.840, 0.840)
Pb (0.500, 0.640, 0.640)

***

# 4
Computed XRD peak list of ReCl3O2 for Cu Kα (λ = 1.5418 Å), from a crystal structure in OQMD, relaxed with PBE.
No peak broadening, texture or thermal motion is included.

Top 10 peaks for 2θ = 10–90°, by intensity:
2θ/deg  I/Imax
15.90  100
27.06  48
31.73  35
37.38  35
22.82  28
21.75  26
19.27  21
42.78  19
24.83  19
46.62  17

Cell lengths 7.980, 8.172, 7.793 Å; angles 90.00, 90.00, 90.00 degrees
Element x y z (fractional)
Re (0.071, 0.240, 0.000)
Re (0.429, 0.740, 0.500)
Re (0.571, 0.260, 0.500)
Re (0.929, 0.760, 0.000)
Cl (0.000, 0.000, 0.208)
Cl (0.000, 0.000, 0.792)
Cl (0.170, 0.623, 0.500)
Cl (0.213, 0.726, 0.000)
Cl (0.287, 0.226, 0.500)
Cl (0.330, 0.123, 0.000)
Cl (0.500, 0.500, 0.292)
Cl (0.500, 0.500, 0.708)
Cl (0.670, 0.877, 0.000)
Cl (0.713, 0.774, 0.500)
Cl (0.787, 0.274, 0.000)
Cl (0.830, 0.377, 0.500)
O (0.106, 0.363, 0.175)
O (0.106, 0.363, 0.825)
O (0.394, 0.863, 0.325)
O (0.394, 0.863, 0.675)
O (0.606, 0.137, 0.325)
O (0.606, 0.137, 0.675)
O (0.894, 0.637, 0.175)
O (0.894, 0.637, 0.825)

***

Copy entry 4 word for word.
Computed XRD peak list of ReCl3O2 for Cu Kα (λ = 1.5418 Å), from a crystal structure in OQMD, relaxed with PBE.
No peak broadening, texture or thermal motion is included.

Top 10 peaks for 2θ = 10–90°, by intensity:
2θ/deg  I/Imax
15.90  100
27.06  48
31.73  35
37.38  35
22.82  28
21.75  26
19.27  21
42.78  19
24.83  19
46.62  17

Cell lengths 7.980, 8.172, 7.793 Å; angles 90.00, 90.00, 90.00 degrees
Element x y z (fractional)
Re (0.071, 0.240, 0.000)
Re (0.429, 0.740, 0.500)
Re (0.571, 0.260, 0.500)
Re (0.929, 0.760, 0.000)
Cl (0.000, 0.000, 0.208)
Cl (0.000, 0.000, 0.792)
Cl (0.170, 0.623, 0.500)
Cl (0.213, 0.726, 0.000)
Cl (0.287, 0.226, 0.500)
Cl (0.330, 0.123, 0.000)
Cl (0.500, 0.500, 0.292)
Cl (0.500, 0.500, 0.708)
Cl (0.670, 0.877, 0.000)
Cl (0.713, 0.774, 0.500)
Cl (0.787, 0.274, 0.000)
Cl (0.830, 0.377, 0.500)
O (0.106, 0.363, 0.175)
O (0.106, 0.363, 0.825)
O (0.394, 0.863, 0.325)
O (0.394, 0.863, 0.675)
O (0.606, 0.137, 0.325)
O (0.606, 0.137, 0.675)
O (0.894, 0.637, 0.175)
O (0.894, 0.637, 0.825)